Starting from the GGA+U geometry in the Materials Project, the X-ray powder pattern of Cu3Mo2O10 was computed for Cu Kα (weighted mean of Kα1 and Kα2).
Kinematic intensities with the Lorentz-polarization factor, no thermal factor.

Structural model:
```
data_Cu3Mo2O10
_symmetry_space_group_name_H-M 'P 1 21/c 1'
_symmetry_Int_Tables_number 14
_symmetry_space_group_name_Hall '-P 2ybc'
_cell_length_a 5.5398
_cell_length_b 13.9290
_cell_length_c 7.5196
_cell_angle_alpha 90.00
_cell_angle_beta 132.42
_cell_angle_gamma 90.00
loop_
_atom_site_label
_atom_site_type_symbol
_atom_site_fract_x
_atom_site_fract_y
_atom_site_fract_z
Cu1 Cu 0.0000 0.0000 0.0000
Cu2 Cu 0.3809 0.0897 0.8676
Mo1 Mo 0.4275 0.6540 0.0437
O1 O 0.0221 0.6289 0.9262
O2 O 0.2205 0.5262 0.3895
O3 O 0.2553 0.1123 0.1444
O4 O 0.4531 0.5937 0.8504
O5 O 0.4577 0.7190 0.5268
```

Most intense lines, 2θ = 10–80°, by intensity:
- d 3.561, 25.00°, rel. 100, hkl 0 3 1
- d 3.630, 24.52°, rel. 74, hkl 1 1 -2
- d 4.090, 21.73°, rel. 55, hkl 1 0 0
- d 4.329, 20.52°, rel. 38, hkl 1 2 -1
- d 2.651, 33.81°, rel. 35, hkl 1 4 0
- d 1.872, 48.63°, rel. 28, hkl 1 7 -1
- d 3.482, 25.58°, rel. 28, hkl 0 4 0
- d 2.776, 32.25°, rel. 25, hkl 0 0 2
- d 2.760, 32.44°, rel. 24, hkl 2 0 -2
- d 2.707, 33.09°, rel. 22, hkl 2 1 -2